Entry 1:
The following is a theoretical powder diffractogram of NaPrNi4. It was derived from a cell relaxed with PBE, using a wavelength of 1.5418 Å.
Neutral-atom scattering factors, no anomalous dispersion.

Atomic structure:
Unit cell a=5.063 b=5.063 c=5.063 alpha=60.00 beta=60.00 gamma=60.00
Sites, in units of the cell vectors:
1 Na 0.000 0.000 0.000
2 Pr 0.750 0.750 0.750
3 Ni 0.375 0.375 0.375
4 Ni 0.375 0.375 0.876
5 Ni 0.375 0.876 0.375
6 Ni 0.876 0.375 0.375

Main lines, in order of rising 2θ (10 to 80 degrees two-theta):
21.5 deg, d 4.134, intensity 19.2
24.9 deg, d 3.580, intensity 20.5
35.5 deg, d 2.531, intensity 32.3
41.8 deg, d 2.159, intensity 100.0
43.8 deg, d 2.067, intensity 34.7
63.7 deg, d 1.462, intensity 11.4
68.0 deg, d 1.378, intensity 29.8
75.0 deg, d 1.266, intensity 21.6



Entry 2:
The following is a theoretical powder diffractogram of Bi3H4Pd9. It was derived from a cell relaxed with PBE, using a wavelength of 1.5418 Å.
Neutral-atom scattering factors, no anomalous dispersion.

Atomic structure:
Unit cell a=8.534 b=8.534 c=8.534 alpha=40.17 beta=40.17 gamma=40.17
Sites, in units of the cell vectors:
1 Bi 0.000 0.000 0.000
2 Bi 0.132 0.132 0.132
3 Bi 0.566 0.566 0.566
4 H 0.304 0.304 0.304
5 H 0.430 0.430 0.430
6 H 0.702 0.702 0.702
7 H 0.827 0.827 0.827
8 Pd 0.008 0.504 0.504
9 Pd 0.066 0.066 0.566
10 Pd 0.066 0.566 0.066
11 Pd 0.124 0.628 0.628
12 Pd 0.504 0.008 0.504
13 Pd 0.504 0.504 0.008
14 Pd 0.566 0.066 0.066
15 Pd 0.628 0.124 0.628
16 Pd 0.628 0.628 0.124

Main lines, in order of rising 2θ (10 to 80 degrees two-theta):
34.3 deg, d 2.611, intensity 52.8
36.2 deg, d 2.481, intensity 100.0
40.4 deg, d 2.233, intensity 40.3
44.8 deg, d 2.025, intensity 77.6
63.5 deg, d 1.465, intensity 30.3
66.8 deg, d 1.400, intensity 16.8
74.2 deg, d 1.278, intensity 33.7
74.7 deg, d 1.271, intensity 18.0



Entry 3:
The following is a theoretical powder diffractogram of Na5Li. It was derived from a cell relaxed with PBE, using a wavelength of 1.5418 Å.
Neutral-atom scattering factors, no anomalous dispersion.

Atomic structure:
Unit cell a=6.501 b=6.501 c=7.844 alpha=106.64 beta=106.64 gamma=39.70
Sites, in units of the cell vectors:
1 Na 0.000 0.000 0.000
2 Na 0.336 0.336 0.181
3 Na 0.341 0.341 0.657
4 Na 0.659 0.659 0.343
5 Na 0.664 0.664 0.819
6 Li 0.000 0.000 0.500

Main lines, in order of rising 2θ (10 to 80 degrees two-theta):
30.5 deg, d 2.932, intensity 97.5
30.7 deg, d 2.916, intensity 100.0
32.2 deg, d 2.783, intensity 42.3
32.7 deg, d 2.736, intensity 39.3
40.9 deg, d 2.208, intensity 21.6
52.9 deg, d 1.730, intensity 18.7
53.3 deg, d 1.718, intensity 17.8
68.1 deg, d 1.377, intensity 15.8



Which formula does entry 3 have? Na5Li